# Mg2SiO4
Theoretical powder diffraction line list, copper Kα. Input: a PBE-relaxed structure.
Lines closer than 0.1° are merged.

Crystal structure
```
Mg2SiO4
1.0
-2.861 2.927 4.155
2.861 -2.927 4.155
2.861 2.927 -4.155
Mg Si O
4 2 8
Direct
0.000 0.000 0.000
0.359 0.609 0.750
0.500 0.000 0.500
0.641 0.391 0.250
0.000 0.000 0.500
0.000 0.500 0.000
0.210 0.199 0.489
0.210 0.721 0.011
0.213 0.749 0.464
0.215 0.251 0.964
0.785 0.749 0.036
0.787 0.251 0.536
0.790 0.279 0.989
0.790 0.801 0.511
```

Top 12 peaks for 2θ from 5° to 70°, sorted by position:
18.54 deg, I 100; 30.66 deg, I 41; 36.02 deg, I 31; 36.13 deg, I 71; 36.59 deg, I 76; 43.56 deg, I 34; 44.27 deg, I 79; 58.31 deg, I 42; 58.83 deg, I 28; 63.58 deg, I 26; 63.85 deg, I 90; 65.22 deg, I 27


# Mg2SiO4
Theoretical powder diffraction line list, copper Kα. Input: a PBE-relaxed structure.
Lines closer than 0.1° are merged.

Crystal structure
```
Mg2SiO4
1.0
6.015 0.000 0.000
-3.007 5.209 0.000
0.000 0.000 4.829
Mg Si O
4 2 8
Direct
0.000 0.000 0.000
0.000 0.500 0.500
0.500 0.000 0.500
0.500 0.500 0.500
0.333 0.667 0.927
0.667 0.333 0.073
0.189 0.377 0.777
0.189 0.811 0.777
0.333 0.667 0.265
0.377 0.189 0.223
0.623 0.811 0.777
0.667 0.333 0.735
0.811 0.189 0.223
0.811 0.623 0.223
```

Top 12 peaks for 2θ from 5° to 70°, sorted by position:
17.02 deg, I 72; 25.15 deg, I 44; 29.71 deg, I 32; 35.16 deg, I 91; 39.31 deg, I 100; 41.21 deg, I 20; 51.62 deg, I 63; 56.31 deg, I 26; 60.70 deg, I 14; 61.69 deg, I 57; 65.81 deg, I 10; 68.53 deg, I 23


# MgSiO3
Theoretical powder diffraction line list, copper Kα. Input: a PBE-relaxed structure.
Lines closer than 0.1° are merged.

Crystal structure
```
MgSiO3
1.0
4.939 0.000 0.000
0.000 8.846 0.000
0.000 0.000 9.672
Mg Si O
8 8 24
Direct
0.197 0.165 0.000
0.198 0.165 0.257
0.302 0.665 0.757
0.303 0.665 0.500
0.697 0.335 0.000
0.698 0.335 0.257
0.802 0.835 0.757
0.803 0.835 0.500
0.083 0.359 0.761
0.085 0.359 0.496
0.415 0.859 0.996
0.417 0.859 0.261
0.583 0.141 0.761
0.585 0.141 0.496
0.915 0.641 0.996
0.917 0.641 0.261
0.001 0.500 0.378
0.020 0.724 0.628
0.121 0.789 0.913
0.124 0.788 0.343
0.144 0.653 0.128
0.224 0.955 0.128
0.276 0.455 0.628
0.356 0.153 0.628
0.376 0.288 0.843
0.379 0.289 0.413
0.480 0.224 0.128
0.499 0.000 0.878
0.501 0.000 0.378
0.520 0.776 0.628
0.621 0.711 0.913
0.624 0.712 0.343
0.644 0.847 0.128
0.724 0.545 0.128
0.776 0.045 0.628
0.856 0.347 0.628
0.876 0.212 0.843
0.879 0.211 0.413
0.980 0.276 0.128
0.999 0.500 0.878
```

Top 12 peaks for 2θ from 5° to 70°, sorted by position:
20.08 deg, I 69; 20.60 deg, I 68; 22.58 deg, I 100; 28.62 deg, I 63; 31.73 deg, I 24; 36.69 deg, I 17; 39.08 deg, I 26; 40.21 deg, I 26; 45.56 deg, I 65; 47.51 deg, I 33; 54.09 deg, I 50; 56.38 deg, I 28


Copy entry 2 word for word.
# Mg2SiO4
Theoretical powder diffraction line list, copper Kα. Input: a PBE-relaxed structure.
Lines closer than 0.1° are merged.

Crystal structure
```
Mg2SiO4
1.0
6.015 0.000 0.000
-3.007 5.209 0.000
0.000 0.000 4.829
Mg Si O
4 2 8
Direct
0.000 0.000 0.000
0.000 0.500 0.500
0.500 0.000 0.500
0.500 0.500 0.500
0.333 0.667 0.927
0.667 0.333 0.073
0.189 0.377 0.777
0.189 0.811 0.777
0.333 0.667 0.265
0.377 0.189 0.223
0.623 0.811 0.777
0.667 0.333 0.735
0.811 0.189 0.223
0.811 0.623 0.223
```

Top 12 peaks for 2θ from 5° to 70°, sorted by position:
17.02 deg, I 72; 25.15 deg, I 44; 29.71 deg, I 32; 35.16 deg, I 91; 39.31 deg, I 100; 41.21 deg, I 20; 51.62 deg, I 63; 56.31 deg, I 26; 60.70 deg, I 14; 61.69 deg, I 57; 65.81 deg, I 10; 68.53 deg, I 23


- Which formula does entry 3 have?
  MgSiO3